(1)
Simulated X-ray diffraction stick pattern
Compound: Sm5DyY12
Radiation: Cu Kα (λ = 1.5418 Å)
Structure: the PBE geometry in Alexandria
Neutral-atom scattering factors, no anomalous dispersion.

Structural model:
```
data_Sm5DyY12
_chemical_formula_sum 'Sm5 Dy1 Y12'
_space_group_name_H-M_alt 'P 1 2/m 1'
_space_group_IT_number 10
_cell_length_a 10.7450
_cell_length_b 5.0706
_cell_length_c 10.7604
_cell_angle_alpha 90.00
_cell_angle_beta 90.09
_cell_angle_gamma 90.00
loop_
_space_group_symop_operation_xyz
'x,y,z'
'-x,-y,-z'
'-x,y,-z'
'x,-y,z'
loop_
_atom_site_label
_atom_site_type_symbol
_atom_site_fract_x
_atom_site_fract_y
_atom_site_fract_z
_atom_site_occupancy
Sm1 Sm 0.0000 0.0000 0.0000 1
Sm2 Sm 0.1669 0.5000 0.8332 1
Sm3 Sm 0.3340 0.0000 0.6660 1
Dy1 Dy 0.5000 0.5000 0.5000 1
Y1 Y 0.0001 0.0000 0.3338 1
Y2 Y 0.1669 0.5000 0.1669 1
Y3 Y 0.1674 0.5000 0.4999 1
Y4 Y 0.3338 0.0000 0.0001 1
Y5 Y 0.3338 0.0000 0.3338 1
Y6 Y 0.4998 0.5000 0.1674 1
```

Principal peaks in the range 15° ≤ 2θ ≤ 90°, low angle first:
(3 1 0), 2θ 30.54, rel. 100; (3 0 3), 2θ 35.41, rel. 50; (6 0 0), 2θ 50.95, rel. 35; (3 3 0), 2θ 60.56, rel. 35; (6 2 0), 2θ 63.58, rel. 12; (3 3 6), 2θ 83.01, rel. 11

(2)
Simulated X-ray diffraction stick pattern
Compound: LiCu3Pd5
Radiation: Cu Kα (λ = 1.5418 Å)
Structure: the PBE geometry in Alexandria
Neutral-atom scattering factors, no anomalous dispersion.

Structural model:
```
data_LiCu3Pd5
_chemical_formula_sum 'Li4 Cu12 Pd20'
_space_group_name_H-M_alt 'I 4/m c m'
_space_group_IT_number 140
_space_group_name_Hall '-I 4 2c'
_cell_length_a 6.3489
_cell_length_b 6.3489
_cell_length_c 12.9976
_cell_angle_alpha 90.00
_cell_angle_beta 90.00
_cell_angle_gamma 90.00
loop_
_atom_site_label
_atom_site_type_symbol
_atom_site_fract_x
_atom_site_fract_y
_atom_site_fract_z
_atom_site_occupancy
Li1 Li 0.0000 0.5000 0.2500 1
Cu1 Cu 0.0000 0.0000 0.2500 1
Cu2 Cu 0.1209 0.3791 0.0000 1
Pd1 Pd 0.0000 0.0000 0.0000 1
Pd2 Pd 0.2086 0.2914 0.3560 1
```

Principal peaks in the range 15° ≤ 2θ ≤ 90°, low angle first:
(2 1 3), 2θ 37.89, rel. 68; (2 0 4), 2θ 39.69, rel. 100; (2 2 0), 2θ 40.17, rel. 46; (0 0 6), 2θ 41.69, rel. 17; (3 1 0), 2θ 45.16, rel. 25; (4 1 3), 2θ 64.19, rel. 18

(3)
Simulated X-ray diffraction stick pattern
Compound: Sm3HoTmTh
Radiation: Cu Kα (λ = 1.5418 Å)
Structure: the PBE geometry in Alexandria
Neutral-atom scattering factors, no anomalous dispersion.

Structural model:
```
data_Sm3HoTmTh
_chemical_formula_sum 'Sm6 Ho2 Tm2 Th2'
_space_group_name_H-M_alt 'P -1'
_space_group_IT_number 2
_cell_length_a 6.5947
_cell_length_b 6.8658
_cell_length_c 8.7658
_cell_angle_alpha 90.57
_cell_angle_beta 98.26
_cell_angle_gamma 90.04
loop_
_space_group_symop_operation_xyz
'x,y,z'
'-x,-y,-z'
loop_
_atom_site_label
_atom_site_type_symbol
_atom_site_fract_x
_atom_site_fract_y
_atom_site_fract_z
_atom_site_occupancy
Sm1 Sm 0.0017 0.2504 0.0007 1
Sm2 Sm 0.3028 0.2437 0.3494 1
Sm3 Sm 0.3027 0.7421 0.3477 1
Ho1 Ho 0.2032 0.9983 0.6882 1
Tm1 Tm 0.2025 0.4983 0.6888 1
Th1 Th 0.4988 0.7488 0.9989 1
```

Principal peaks in the range 15° ≤ 2θ ≤ 90°, low angle first:
(1 2 -1), 2θ 30.45, rel. 25; (2 0 1), 2θ 30.62, rel. 100; (0 0 3), 2θ 30.93, rel. 77; (2 0 -2), 2θ 31.86, rel. 69; (1 2 1), 2θ 31.97, rel. 22; (0 4 0), 2θ 53.36, rel. 22

(4)
Simulated X-ray diffraction stick pattern
Compound: Pm3ScCo8
Radiation: Cu Kα (λ = 1.5418 Å)
Structure: the PBE geometry in Alexandria
Neutral-atom scattering factors, no anomalous dispersion.

Structural model:
```
data_Pm3ScCo8
_chemical_formula_sum 'Pm9 Sc3 Co24'
_space_group_name_H-M_alt 'R 3 m'
_space_group_IT_number 160
_space_group_name_Hall 'R 3 -2"'
_cell_length_a 5.0819
_cell_length_b 5.0819
_cell_length_c 24.9710
_cell_angle_alpha 90.00
_cell_angle_beta 90.00
_cell_angle_gamma 120.00
loop_
_atom_site_label
_atom_site_type_symbol
_atom_site_fract_x
_atom_site_fract_y
_atom_site_fract_z
_atom_site_occupancy
Pm1 Pm 0.0000 0.0000 0.0000 1
Pm2 Pm 0.0000 0.0000 0.1261 1
Pm3 Pm 0.0000 0.0000 0.6234 1
Sc1 Sc 0.0000 0.0000 0.4998 1
Co1 Co 0.0000 0.0000 0.3123 1
Co2 Co 0.0000 0.0000 0.8134 1
Co3 Co 0.0054 0.5027 0.0651 1
Co4 Co 0.1683 0.3365 0.8933 1
```

Principal peaks in the range 15° ≤ 2θ ≤ 90°, low angle first:
(1 1 0), 2θ 35.29, rel. 53; (1 0 10), 2θ 41.64, rel. 100; (0 2 4), 2θ 43.61, rel. 16; (3 0 0), 2θ 63.37, rel. 14; (3 0 6), 2θ 67.70, rel. 22; (2 2 0), 2θ 74.72, rel. 11

(5)
Simulated X-ray diffraction stick pattern
Compound: Sr5Tc2N6
Radiation: Cu Kα (λ = 1.5418 Å)
Structure: the PBE geometry in Alexandria
Neutral-atom scattering factors, no anomalous dispersion.

Structural model:
```
data_Sr5Tc2N6
_chemical_formula_sum 'Sr10 Tc4 N12'
_space_group_name_H-M_alt 'P 1 21/c 1'
_space_group_IT_number 14
_cell_length_a 3.6628
_cell_length_b 10.4987
_cell_length_c 12.2821
_cell_angle_alpha 90.00
_cell_angle_beta 104.68
_cell_angle_gamma 90.00
loop_
_space_group_symop_operation_xyz
'x,y,z'
'-x,-y,-z'
'-x,y+1/2,-z+1/2'
'x,-y+1/2,z+1/2'
loop_
_atom_site_label
_atom_site_type_symbol
_atom_site_fract_x
_atom_site_fract_y
_atom_site_fract_z
_atom_site_occupancy
Sr1 Sr 0.0000 0.0000 0.0000 1
Sr2 Sr 0.2997 0.1636 0.5139 1
Sr3 Sr 0.4787 0.5857 0.2467 1
Tc1 Tc 0.0090 0.6658 0.7659 1
N1 N 0.0813 0.6903 0.3712 1
N2 N 0.1121 0.5275 0.8706 1
N3 N 0.4456 0.6672 0.6943 1
```

Principal peaks in the range 15° ≤ 2θ ≤ 90°, low angle first:
(0 3 1), 2θ 26.55, rel. 57; (0 0 4), 2θ 30.09, rel. 100; (1 2 1), 2θ 32.92, rel. 99; (1 2 -3), 2θ 33.97, rel. 99; (0 3 3), 2θ 34.18, rel. 40; (0 4 1), 2θ 35.01, rel. 43

(6)
Simulated X-ray diffraction stick pattern
Compound: UNi3Te5
Radiation: Cu Kα (λ = 1.5418 Å)
Structure: the PBE geometry in Alexandria
Neutral-atom scattering factors, no anomalous dispersion.

Structural model:
```
data_UNi3Te5
_chemical_formula_sum 'U4 Ni12 Te20'
_space_group_name_H-M_alt 'C 1 2/m 1'
_space_group_IT_number 12
_cell_length_a 12.9313
_cell_length_b 8.2539
_cell_length_c 9.7693
_cell_angle_alpha 90.00
_cell_angle_beta 121.40
_cell_angle_gamma 90.00
loop_
_space_group_symop_operation_xyz
'x,y,z'
'-x,-y,-z'
'-x,y,-z'
'x,-y,z'
'x+1/2,y+1/2,z'
'-x+1/2,-y+1/2,-z'
'-x+1/2,y+1/2,-z'
'x+1/2,-y+1/2,z'
loop_
_atom_site_label
_atom_site_type_symbol
_atom_site_fract_x
_atom_site_fract_y
_atom_site_fract_z
_atom_site_occupancy
U1 U 0.1654 0.0000 0.3629 1
Ni1 Ni 0.0000 0.0000 0.0000 1
Ni2 Ni 0.0000 0.0000 0.5000 1
Ni3 Ni 0.1377 0.5000 0.6670 1
Ni4 Ni 0.1829 0.5000 0.1218 1
Te1 Te 0.0000 0.3024 0.0000 1
Te2 Te 0.0704 0.5000 0.3623 1
Te3 Te 0.1738 0.1979 0.6552 1
Te4 Te 0.2098 0.0000 0.0341 1
```

Principal peaks in the range 15° ≤ 2θ ≤ 90°, low angle first:
(2 2 -2), 2θ 28.76, rel. 78; (3 1 -3), 2θ 30.46, rel. 72; (2 2 1), 2θ 32.09, rel. 100; (0 0 3), 2θ 32.20, rel. 80; (1 3 2), 2θ 42.43, rel. 60; (5 3 -2), 2θ 48.30, rel. 56